Starting from DFT lattice parameters and positions (PBE), the powder X-ray diffraction pattern of Cs2InHg2Cl4 was computed for Cu Kα, 1.54184 Å.
Lines closer than 0.1° are merged.

Top 6 peaks for 2θ from 15° to 90°, in order of rising 2θ:
15.05 deg, I = 356, (1 1 0)
21.35 deg, I = 1000, (2 0 0)
29.73 deg, I = 546, (2 0 2)
30.37 deg, I = 906, (2 2 0)
32.74 deg, I = 500, (1 0 3)
39.42 deg, I = 546, (2 1 3)

Structure:
```
data_Cs2InHg2Cl4
_chemical_formula_sum 'Cs4 In2 Hg4 Cl8'
_cell_length_a 8.3244
_cell_length_b 8.3244
_cell_length_c 8.6879
_cell_angle_alpha 90.00
_cell_angle_beta 90.00
_cell_angle_gamma 90.00
_space_group_name_H-M_alt 'I 4/m m m'
_space_group_IT_number 139
_space_group_name_Hall '-I 4 2'
loop_
_atom_site_label
_atom_site_type_symbol
_atom_site_fract_x
_atom_site_fract_y
_atom_site_fract_z
_atom_site_occupancy
Cs1 Cs 0.0000 0.5000 0.2500 1
In1 In 0.0000 0.0000 0.0000 1
Hg1 Hg 0.0000 0.0000 0.3326 1
Cl1 Cl 0.2343 0.2343 0.0000 1
```